Diffraction record for Mn2PtC12O12. The PXRD pattern is calculated, not measured: it uses DFT lattice parameters and positions (GGA+U) and Cu Kα (weighted mean of Kα1 and Kα2).
Peak positions follow from Bragg's law for the DFT cell and can differ from measured ones.

Structural model:
```
data_Mn2PtC12O12
_cell_length_a 6.690
_cell_length_b 7.557
_cell_length_c 10.200
_cell_angle_alpha 69.89
_cell_angle_beta 83.85
_cell_angle_gamma 86.11
_space_group_name_H-M_alt 'P -1'
_space_group_IT_number 2
_space_group_name_Hall '-P 1'
loop_
_atom_site_label
_atom_site_fract_x
_atom_site_fract_y
_atom_site_fract_z
Mn1 0.207 0.113 0.231
Pt1 0.000 0.000 0.500
C1 0.025 0.747 0.830
C2 0.098 0.908 0.207
C3 0.106 0.750 0.533
C4 0.295 0.306 0.283
C5 0.345 0.190 0.059
C6 0.421 0.961 0.314
O1 0.030 0.784 0.187
O2 0.169 0.662 0.873
O3 0.170 0.597 0.554
O4 0.354 0.426 0.313
O5 0.435 0.237 0.950
O6 0.441 0.130 0.638
```

Main lines, most intense first (10° ≤ 2θ ≤ 80°):
- 2θ 12.48, d = 7.092 Å, rel. 100, (0 1 0)
- 2θ 15.55, d = 5.698 Å, rel. 86, (1 0 1)
- 2θ 12.78, d = 6.927 Å, rel. 77, (0 1 1)
- 2θ 17.57, d = 5.049 Å, rel. 62, (1 1 1)
- 2θ 13.32, d = 6.648 Å, rel. 56, (1 0 0)
- 2θ 32.28, d = 2.773 Å, rel. 47, (1 0 -3)
- 2θ 37.68, d = 2.387 Å, rel. 36, (1 3 2)
- 2θ 18.59, d = 4.772 Å, rel. 36, (1 -1 0)
- 2θ 32.10, d = 2.789 Å, rel. 31, (2 -1 1)
- 2θ 29.72, d = 3.006 Å, rel. 26, (0 2 -1)

***

Diffraction record for Li3Mn2P2C2O14. The PXRD pattern is calculated, not measured: it uses DFT lattice parameters and positions (GGA+U) and Cu Kα (weighted mean of Kα1 and Kα2).
Peak positions follow from Bragg's law for the DFT cell and can differ from measured ones.

Structural model:
```
data_Li3Mn2P2C2O14
_cell_length_a 8.204
_cell_length_b 8.237
_cell_length_c 9.558
_cell_angle_alpha 107.48
_cell_angle_beta 106.43
_cell_angle_gamma 103.95
_space_group_name_H-M_alt 'P 1'
_space_group_IT_number 1
_space_group_name_Hall 'P 1'
loop_
_atom_site_label
_atom_site_fract_x
_atom_site_fract_y
_atom_site_fract_z
Li1 0.000 0.000 0.000
Li2 0.023 0.948 0.516
Li3 0.262 0.687 0.497
Li4 0.311 0.741 0.039
Li5 0.560 0.483 0.052
Li6 0.752 0.235 0.537
Mn1 0.226 0.402 0.611
Mn2 0.350 0.032 0.939
Mn3 0.716 0.894 0.609
Mn4 0.840 0.518 0.931
P1 0.076 0.267 0.846
P2 0.473 0.166 0.692
P3 0.587 0.759 0.852
P4 0.993 0.662 0.699
C1 0.014 0.698 0.215
C2 0.046 0.217 0.330
C3 0.529 0.207 0.221
C4 0.537 0.728 0.325
O1 0.008 0.188 0.449
O2 0.061 0.732 0.103
O3 0.089 0.565 0.600
O4 0.104 0.787 0.362
O5 0.132 0.801 0.867
O6 0.163 0.171 0.944
O7 0.185 0.371 0.386
O8 0.221 0.404 0.817
O9 0.344 0.023 0.727
O10 0.356 0.239 0.587
O11 0.387 0.053 0.160
O12 0.443 0.617 0.687
O13 0.453 0.642 0.178
O14 0.478 0.698 0.432
O15 0.499 0.856 0.954
O16 0.547 0.262 0.107
O17 0.574 0.080 0.598
O18 0.608 0.320 0.855
O19 0.632 0.287 0.362
O20 0.691 0.670 0.951
O21 0.697 0.860 0.390
O22 0.729 0.891 0.818
O23 0.856 0.516 0.727
O24 0.862 0.557 0.155
O25 0.903 0.757 0.604
O26 0.934 0.127 0.680
O27 0.964 0.112 0.189
O28 0.988 0.372 0.946
```

Main lines, most intense first (10° ≤ 2θ ≤ 80°):
- 2θ 10.51, d = 8.418 Å, rel. 100, (0 0 1)
- 2θ 27.55, d = 3.238 Å, rel. 72, (2 -2 0)
- 2θ 21.07, d = 4.216 Å, rel. 41, (1 1 -2)
- 2θ 26.68, d = 3.341 Å, rel. 36, (1 1 1)
- 2θ 19.91, d = 4.460 Å, rel. 31, (1 1 0)
- 2θ 17.37, d = 5.105 Å, rel. 22, (-1 1 1)
- 2θ 17.18, d = 5.161 Å, rel. 22, (1 -1 1)
- 2θ 35.55, d = 2.526 Å, rel. 19, (2 2 -2)
- 2θ 36.47, d = 2.464 Å, rel. 14, (2 2 -1)
- 2θ 25.09, d = 3.549 Å, rel. 12, (0 2 -2)